(1)
Theoretical PXRD pattern
Compound: Au4I3Cl
Radiation: copper Kα
Structure: a structure optimized by DFT (GGA-PBE)

Atomic structure:
```
16
Lattice="6.328 0.000 0.000 0.000 6.573 0.000 0.000 0.000 13.538" Properties=species:S:1:pos:R:3 pbc="T T T"
Au 0.000 1.543 0.000
Au 0.000 5.030 0.000
Au 1.575 0.000 6.616
Au 1.589 3.287 6.616
Au 3.164 1.744 0.000
Au 3.164 4.829 0.000
Au 4.739 3.287 6.616
Au 4.754 0.000 6.616
I 0.000 0.000 8.723
I 0.000 3.287 4.530
I 0.000 3.287 11.620
I 3.164 0.000 4.530
I 3.164 0.000 11.620
I 3.164 3.287 8.723
Cl 0.000 0.000 1.810
Cl 3.164 3.287 1.810
```

Most intense lines, 2θ = 10–90°, by angle:
13.08 deg, intensity 100.0; 23.53 deg, intensity 39.7; 27.94 deg, intensity 52.8; 28.98 deg, intensity 41.0; 33.74 deg, intensity 22.2; 34.62 deg, intensity 36.4; 39.96 deg, intensity 17.3; 41.82 deg, intensity 43.9; 43.30 deg, intensity 18.9; 48.13 deg, intensity 44.3



(2)
Theoretical PXRD pattern
Compound: Li2MgScIn2Au2
Radiation: copper Kα
Structure: a structure optimized by DFT (GGA-PBE)

Atomic structure:
```
8
Lattice="4.706 0.000 0.000 0.000 4.706 0.000 0.000 0.000 6.632" Properties=species:S:1:pos:R:3 pbc="T T T"
Li 0.000 2.353 1.573
Li 2.353 0.000 5.059
Mg 2.353 2.353 0.000
Sc 0.000 0.000 3.316
In 0.000 0.000 0.000
In 2.353 2.353 3.316
Au 0.000 2.353 4.966
Au 2.353 0.000 1.667
```

Most intense lines, 2θ = 10–90°, by angle:
23.18 deg, intensity 82.8; 38.30 deg, intensity 100.0; 45.20 deg, intensity 29.3; 45.32 deg, intensity 14.6; 55.21 deg, intensity 11.4; 60.73 deg, intensity 18.4; 69.20 deg, intensity 23.0; 69.33 deg, intensity 11.4; 74.06 deg, intensity 10.4; 86.58 deg, intensity 9.7



(3)
Theoretical PXRD pattern
Compound: TbSnO3
Radiation: copper Kα
Structure: a structure optimized by DFT (GGA-PBE)

Atomic structure:
```
10
Lattice="-3.020 4.272 2.866 3.020 -4.272 2.866 3.020 4.272 -2.866" Properties=species:S:1:pos:R:3 pbc="T T T"
Tb 0.000 0.000 0.000
Tb 0.000 4.272 0.000
Sn 3.020 2.136 0.277
Sn 0.000 2.136 2.590
O 3.020 -2.136 1.841
O 1.510 5.122 -1.433
O 1.510 0.850 1.433
O -1.510 3.422 1.433
O 1.510 3.422 1.433
O 0.000 6.407 1.025
```

Most intense lines, 2θ = 10–90°, by angle:
29.58 deg, intensity 25.0; 29.99 deg, intensity 100.0; 31.20 deg, intensity 14.3; 42.32 deg, intensity 10.2; 43.53 deg, intensity 20.1; 52.48 deg, intensity 15.0; 52.75 deg, intensity 21.3; 53.50 deg, intensity 10.4; 54.78 deg, intensity 16.0; 85.18 deg, intensity 11.5



(4)
Theoretical PXRD pattern
Compound: Zn3W
Radiation: copper Kα
Structure: a structure optimized by DFT (GGA-PBE)

Atomic structure:
```
16
Lattice="5.454 0.000 0.000 0.000 9.731 0.000 0.000 0.000 4.479" Properties=species:S:1:pos:R:3 pbc="T T T"
Zn 0.000 0.866 1.120
Zn 0.000 8.865 3.359
Zn 1.340 1.703 3.359
Zn 1.340 8.028 1.120
Zn 1.387 3.163 1.120
Zn 1.387 6.569 3.359
Zn 2.727 3.999 3.359
Zn 2.727 5.732 1.120
Zn 4.067 3.163 1.120
Zn 4.067 6.569 3.359
Zn 4.114 1.703 3.359
Zn 4.114 8.028 1.120
W 0.000 4.183 3.359
W 0.000 5.549 1.120
W 2.727 0.683 1.120
W 2.727 9.048 3.359
```

Most intense lines, 2θ = 10–90°, by angle:
18.65 deg, intensity 41.6; 37.82 deg, intensity 37.5; 40.27 deg, intensity 46.4; 42.28 deg, intensity 70.6; 43.05 deg, intensity 100.0; 56.43 deg, intensity 23.0; 67.15 deg, intensity 16.7; 75.13 deg, intensity 18.4; 81.30 deg, intensity 19.4; 84.23 deg, intensity 18.3